(1)
Simulated powder XRD pattern
Compound: PrDySc4
Radiation: λ = 1.5418 Å (Cu Kα)
Structure: a cell relaxed with PBE

Structure:
```
PrDySc4
1.0
3.2886 -9.3010 0.0000
3.2886 9.3010 0.0000
0.0000 0.0000 5.3621
Pr Dy Sc
2 2 8
Direct
0.1230 0.8770 0.7500 Pr
0.8770 0.1230 0.2500 Pr
0.3733 0.6267 0.2500 Dy
0.6267 0.3733 0.7500 Dy
0.0429 0.4599 0.7500 Sc
0.2133 0.2969 0.7500 Sc
0.2969 0.2133 0.2500 Sc
0.4599 0.0429 0.2500 Sc
0.5401 0.9571 0.7500 Sc
0.7031 0.7867 0.7500 Sc
0.7867 0.7031 0.2500 Sc
0.9571 0.5401 0.2500 Sc
```

Top 8 peaks for 10° ≤ 2θ ≤ 90°, low angle first:
d 4.647, 2θ 19.10, intensity 32
d 2.684, 2θ 33.39, intensity 100
d 2.324, 2θ 38.75, intensity 6
d 1.898, 2θ 47.94, intensity 20
d 1.549, 2θ 59.68, intensity 32
d 1.402, 2θ 66.72, intensity 12
d 1.200, 2θ 79.92, intensity 9
d 1.128, 2θ 86.27, intensity 5

=====

(2)
Simulated powder XRD pattern
Compound: RbCd2SiO4
Radiation: λ = 1.5418 Å (Cu Kα)
Structure: a cell relaxed with PBE

Structure:
```
RbCd2SiO4
1.0
5.8165 0.0000 0.0000
0.0000 5.8165 0.0000
0.0000 0.0000 7.5908
Rb Cd Si O
2 4 2 8
Direct
0.0000 0.0000 0.0000 Rb
0.5000 0.5000 0.5000 Rb
0.0000 0.5000 0.2500 Cd
0.0000 0.5000 0.7500 Cd
0.5000 0.0000 0.2500 Cd
0.5000 0.0000 0.7500 Cd
0.0000 0.0000 0.5000 Si
0.5000 0.5000 0.0000 Si
0.1669 0.1669 0.6261 O
0.1669 0.8331 0.3739 O
0.3331 0.3331 0.1261 O
0.3331 0.6669 0.8739 O
0.6669 0.3331 0.8739 O
0.6669 0.6669 0.1261 O
0.8331 0.1669 0.3739 O
0.8331 0.8331 0.6261 O
```

Top 8 peaks for 10° ≤ 2θ ≤ 90°, low angle first:
d 4.113, 2θ 21.61, intensity 10
d 2.908, 2θ 30.74, intensity 44
d 2.789, 2θ 32.09, intensity 100
d 2.056, 2θ 44.03, intensity 22
d 1.655, 2θ 55.52, intensity 39
d 1.589, 2θ 58.03, intensity 20
d 1.395, 2θ 67.12, intensity 10
d 1.092, 2θ 89.77, intensity 10

=====

(3)
Simulated powder XRD pattern
Compound: Nb4InBr7
Radiation: λ = 1.5418 Å (Cu Kα)
Structure: a cell relaxed with PBE

Structure:
```
Nb4InBr7
1.0
6.9069 0.0000 0.0000
0.0000 14.0594 0.0000
-1.1178 0.0000 7.6333
Nb In Br
8 2 14
Direct
0.0616 0.0615 0.2599 Nb
0.0616 0.4385 0.2599 Nb
0.1984 0.0170 0.5779 Nb
0.1984 0.4830 0.5779 Nb
0.8016 0.5170 0.4221 Nb
0.8016 0.9830 0.4221 Nb
0.9384 0.5615 0.7401 Nb
0.9384 0.9385 0.7401 Nb
0.1147 0.7500 0.4614 In
0.8853 0.2500 0.5386 In
0.1156 0.1028 0.8650 Br
0.1156 0.3972 0.8650 Br
0.2142 0.2500 0.2880 Br
0.2999 0.6308 0.8096 Br
0.2999 0.8692 0.8096 Br
0.3702 0.5611 0.3168 Br
0.3702 0.9389 0.3168 Br
0.6298 0.0611 0.6832 Br
0.6298 0.4389 0.6832 Br
0.7001 0.1308 0.1904 Br
0.7001 0.3692 0.1904 Br
0.7858 0.7500 0.7120 Br
0.8844 0.6028 0.1350 Br
0.8844 0.8972 0.1350 Br
```

Top 8 peaks for 10° ≤ 2θ ≤ 90°, low angle first:
d 7.633, 2θ 11.59, intensity 59
d 7.030, 2θ 12.59, intensity 86
d 6.834, 2θ 12.95, intensity 95
d 3.193, 2θ 27.95, intensity 65
d 2.831, 2θ 31.60, intensity 100
d 2.761, 2θ 32.43, intensity 81
d 2.504, 2θ 35.87, intensity 65
d 1.911, 2θ 47.57, intensity 39

=====

(4)
Simulated powder XRD pattern
Compound: AlInBiF6
Radiation: λ = 1.5418 Å (Cu Kα)
Structure: a cell relaxed with PBE

Structure:
```
AlInBiF6
1.0
5.0826 0.0000 0.0000
0.7775 5.0356 0.0000
0.3217 0.6826 5.5832
Al In Bi F
1 1 1 6
Direct
0.0000 0.0000 0.0000 Al
0.4515 0.4232 0.2967 In
0.9191 0.5517 0.5803 Bi
0.1686 0.1456 0.7358 F
0.2067 0.6773 0.9887 F
0.2193 0.1043 0.2010 F
0.7684 0.8983 0.7980 F
0.7738 0.3280 0.9928 F
0.7965 0.8828 0.2589 F
```

Top 8 peaks for 10° ≤ 2θ ≤ 90°, low angle first:
d 5.583, 2θ 15.87, intensity 31
d 5.004, 2θ 17.72, intensity 100
d 3.806, 2θ 23.37, intensity 32
d 3.664, 2θ 24.29, intensity 50
d 3.518, 2θ 25.32, intensity 54
d 3.358, 2θ 26.54, intensity 66
d 2.917, 2θ 30.65, intensity 38
d 2.401, 2θ 37.46, intensity 35

=====

(5)
Simulated powder XRD pattern
Compound: Pu2Ga17
Radiation: λ = 1.5418 Å (Cu Kα)
Structure: a cell relaxed with PBE

Structure:
```
Pu2Ga17
1.0
4.2378 2.4467 5.8296
-4.2378 2.4467 5.8296
0.0000 -4.8934 5.8296
Pu Ga
2 17
Direct
0.2202 0.2202 0.2202 Pu
0.7798 0.7798 0.7798 Pu
0.0000 0.5000 0.5000 Ga
0.0607 0.0607 0.7053 Ga
0.0607 0.7053 0.0607 Ga
0.2046 0.5000 0.7954 Ga
0.2046 0.7954 0.5000 Ga
0.2947 0.9393 0.9393 Ga
0.3997 0.3997 0.3997 Ga
0.5000 0.0000 0.5000 Ga
0.5000 0.2046 0.7954 Ga
0.5000 0.5000 0.0000 Ga
0.5000 0.7954 0.2046 Ga
0.6003 0.6003 0.6003 Ga
0.7053 0.0607 0.0607 Ga
0.7954 0.2046 0.5000 Ga
0.7954 0.5000 0.2046 Ga
0.9393 0.2947 0.9393 Ga
0.9393 0.9393 0.2947 Ga
```

Top 8 peaks for 10° ≤ 2θ ≤ 90°, low angle first:
d 5.622, 2θ 15.76, intensity 35
d 4.238, 2θ 20.96, intensity 24
d 2.644, 2θ 33.90, intensity 100
d 2.532, 2θ 35.45, intensity 96
d 2.447, 2θ 36.73, intensity 32
d 2.402, 2θ 37.45, intensity 43
d 2.365, 2θ 38.05, intensity 30
d 2.256, 2θ 39.96, intensity 71

=====

(6)
Simulated powder XRD pattern
Compound: Hg
Radiation: λ = 1.5418 Å (Cu Kα)
Structure: a cell relaxed with PBE

Structure:
```
Hg
1.0
5.6538 0.0000 0.0000
0.0000 3.6734 0.0000
-0.4786 0.0000 5.3940
Hg
4
Direct
0.2255 0.0000 0.2491 Hg
0.2745 0.5000 0.7509 Hg
0.7255 0.5000 0.2491 Hg
0.7745 0.0000 0.7509 Hg
```

Top 8 peaks for 10° ≤ 2θ ≤ 90°, low angle first:
d 2.816, 2θ 31.78, intensity 50
d 2.730, 2θ 32.81, intensity 100
d 2.697, 2θ 33.22, intensity 49
d 2.619, 2θ 34.24, intensity 89
d 2.040, 2θ 44.41, intensity 21
d 1.633, 2θ 56.32, intensity 18
d 1.586, 2θ 58.16, intensity 20
d 1.518, 2θ 61.04, intensity 18

=====

Repeat the sixth record exactly.
Simulated powder XRD pattern
Compound: Hg
Radiation: λ = 1.5418 Å (Cu Kα)
Structure: a cell relaxed with PBE

Structure:
```
Hg
1.0
5.6538 0.0000 0.0000
0.0000 3.6734 0.0000
-0.4786 0.0000 5.3940
Hg
4
Direct
0.2255 0.0000 0.2491 Hg
0.2745 0.5000 0.7509 Hg
0.7255 0.5000 0.2491 Hg
0.7745 0.0000 0.7509 Hg
```

Top 8 peaks for 10° ≤ 2θ ≤ 90°, low angle first:
d 2.816, 2θ 31.78, intensity 50
d 2.730, 2θ 32.81, intensity 100
d 2.697, 2θ 33.22, intensity 49
d 2.619, 2θ 34.24, intensity 89
d 2.040, 2θ 44.41, intensity 21
d 1.633, 2θ 56.32, intensity 18
d 1.586, 2θ 58.16, intensity 20
d 1.518, 2θ 61.04, intensity 18